[1]
Starting from a DFT-relaxed cell (PBE+U, the Materials Project), the powder X-ray diffraction pattern of LiMnPO4 was computed for Cu Kα.
Neutral-atom scattering factors, no anomalous dispersion.

Atomic structure:
Cell lengths 7.2679, 7.2679, 7.2679 Å; angles 90.00, 90.00, 90.00 degrees
Positions (direct):
Li 0.2026 0.2974 0.7026
Li 0.2974 0.7026 0.2026
Li 0.7026 0.2026 0.2974
Li 0.7974 0.7974 0.7974
Mn 0.2436 0.7436 0.7564
Mn 0.2564 0.2564 0.2564
Mn 0.7436 0.7564 0.2436
Mn 0.7564 0.2436 0.7436
P 0.0288 0.9712 0.4712
P 0.4712 0.0288 0.9712
P 0.5288 0.5288 0.5288
P 0.9712 0.4712 0.0288
O 0.0212 0.8972 0.6741
O 0.1028 0.1741 0.4788
O 0.1490 0.8510 0.3510
O 0.1741 0.4788 0.1028
O 0.3259 0.5212 0.6028
O 0.3510 0.1490 0.8510
O 0.3972 0.8259 0.9788
O 0.4788 0.1028 0.1741
O 0.5212 0.6028 0.3259
O 0.6028 0.3259 0.5212
O 0.6490 0.6490 0.6490
O 0.6741 0.0212 0.8972
O 0.8259 0.9788 0.3972
O 0.8510 0.3510 0.1490
O 0.8972 0.6741 0.0212
O 0.9788 0.3972 0.8259

Peak list (8 most intense, 10° ≤ 2θ ≤ 90°, low angle first)
2θ/deg, Rel. int.
21.17, 100.0
27.44, 13.1
34.92, 51.4
39.20, 9.9
41.20, 27.4
55.08, 13.3
62.62, 16.1
66.89, 12.9

=====

[2]
Starting from a DFT-relaxed cell (PBE+U, the Materials Project), the powder X-ray diffraction pattern of LiMnPO5 was computed for Cu Kα.
Neutral-atom scattering factors, no anomalous dispersion.

Atomic structure:
Cell lengths 6.1195, 7.8301, 7.5934 Å; angles 90.00, 90.08, 90.00 degrees
Positions (direct):
Li 0.2501 0.1700 0.1402
Li 0.2501 0.3300 0.6402
Li 0.7499 0.6700 0.3598
Li 0.7499 0.8300 0.8598
Mn 0.0000 0.0000 0.5000
Mn 0.0000 0.5000 0.0000
Mn 0.5000 0.0000 0.5000
Mn 0.5000 0.5000 0.0000
P 0.2499 0.6658 0.3679
P 0.2499 0.8342 0.8679
P 0.7501 0.1658 0.1321
P 0.7501 0.3342 0.6321
O 0.0407 0.7201 0.8737
O 0.0407 0.7799 0.3737
O 0.2494 0.5761 0.1795
O 0.2494 0.9239 0.6795
O 0.2498 0.0897 0.3913
O 0.2498 0.4103 0.8913
O 0.2500 0.5333 0.5107
O 0.2500 0.9667 0.0107
O 0.4590 0.7203 0.8736
O 0.4590 0.7797 0.3736
O 0.5410 0.2203 0.6264
O 0.5410 0.2797 0.1264
O 0.7500 0.0333 0.9893
O 0.7500 0.4667 0.4893
O 0.7502 0.5897 0.1087
O 0.7502 0.9103 0.6087
O 0.7506 0.0761 0.3205
O 0.7506 0.4239 0.8205
O 0.9593 0.2201 0.6263
O 0.9593 0.2799 0.1263

Peak list (8 most intense, 10° ≤ 2θ ≤ 90°, low angle first)
2θ/deg, Rel. int.
16.26, 100.0
18.40, 37.3
23.43, 32.5
26.08, 32.6
32.86, 33.3
33.59, 66.0
48.08, 23.0
59.13, 25.9

=====

[3]
Starting from a DFT-relaxed cell (PBE+U, the Materials Project), the powder X-ray diffraction pattern of LiMnP2O7 was computed for Cu Kα.
Neutral-atom scattering factors, no anomalous dispersion.

Atomic structure:
Cell lengths 5.3053, 5.3053, 4.5920 Å; angles 100.96, 100.96, 100.41 degrees
Positions (direct):
Li 0.0000 0.0000 0.0000
Mn 0.6223 0.3777 0.0000
P 0.0881 0.5122 0.5915
P 0.4878 0.9119 0.4085
O 0.2287 0.7713 0.5000
O 0.2932 0.3739 0.7326
O 0.3883 0.0764 0.1940
O 0.6261 0.7068 0.2674
O 0.6758 0.0718 0.7164
O 0.9236 0.6117 0.8060
O 0.9282 0.3242 0.2836

Peak list (8 most intense, 10° ≤ 2θ ≤ 90°, low angle first)
2θ/deg, Rel. int.
17.48, 34.6
21.80, 29.6
23.53, 17.9
28.98, 59.6
29.90, 100.0
42.24, 14.6
48.13, 14.1
59.09, 16.7